The following is a theoretical X-ray powder pattern of NaNbS6. It was derived from a crystal structure in the Materials Project, relaxed with PBE, using Cu Kα, 1.54184 Å.
Intensities are scaled so that the largest is 100.

Cell and atoms:
Lattice parameters (Å, degrees): 7.5187 7.5187 7.2905 93.50 93.50 119.54
Fractional positions:
Na 0.1688 0.8312 0.5000
Na 0.8312 0.1688 0.0000
Nb 0.4912 0.5182 0.7586
Nb 0.5182 0.4912 0.2586
S 0.1692 0.4475 0.2910
S 0.2036 0.5887 0.8324
S 0.2277 0.2815 0.4752
S 0.2815 0.2277 0.9752
S 0.4475 0.1692 0.7910
S 0.4631 0.7365 0.0227
S 0.5487 0.7652 0.5152
S 0.5887 0.2036 0.3324
S 0.7365 0.4631 0.5227
S 0.7652 0.5487 0.0152
S 0.8034 0.8594 0.7041
S 0.8594 0.8034 0.2041

Peak list (10 most intense, 2θ from 15° to 90°, most intense first)
2θ/deg, I/Imax
41.67, 100
36.54, 85
35.11, 80
29.48, 75
33.34, 63
37.20, 48
45.45, 47
42.82, 47
35.49, 43
43.67, 43

***

The following is a theoretical X-ray powder pattern of NaNbSe2. It was derived from a crystal structure in the Materials Project, relaxed with PBE, using Cu Kα, 1.54184 Å.
Intensities are scaled so that the largest is 100.

Cell and atoms:
Lattice parameters (Å, degrees): 3.5831 3.5831 15.0333 90.00 90.00 120.00
Fractional positions:
Na 0.0000 0.0000 0.0000
Na 0.0000 0.0000 0.5000
Nb 0.0000 0.0000 0.2500
Nb 0.0000 0.0000 0.7500
Se 0.3333 0.6667 0.1403
Se 0.3333 0.6667 0.3597
Se 0.6667 0.3333 0.6403
Se 0.6667 0.3333 0.8597

Peak list (10 most intense, 2θ from 15° to 90°, most intense first)
2θ/deg, I/Imax
37.59, 100
29.39, 59
50.98, 42
41.84, 34
72.96, 20
65.04, 19
46.59, 19
87.04, 17
33.98, 15
31.18, 14

***

The following is a theoretical X-ray powder pattern of Na2Nb3Se6. It was derived from a crystal structure in the Materials Project, relaxed with PBE, using Cu Kα, 1.54184 Å.
Intensities are scaled so that the largest is 100.

Cell and atoms:
Lattice parameters (Å, degrees): 3.5584 3.5584 45.4496 90.00 90.00 120.00
Fractional positions:
Na 0.0000 0.0000 0.0000
Na 0.0000 0.0000 0.1668
Na 0.0000 0.0000 0.3336
Na 0.0000 0.0000 0.6668
Nb 0.0000 0.0000 0.2501
Nb 0.0000 0.0000 0.5830
Nb 0.0000 0.0000 0.9164
Nb 0.6667 0.3333 0.0835
Nb 0.6667 0.3333 0.4172
Nb 0.6667 0.3333 0.7506
Se 0.3333 0.6667 0.0470
Se 0.3333 0.6667 0.1200
Se 0.3333 0.6667 0.2137
Se 0.3333 0.6667 0.2866
Se 0.3333 0.6667 0.3803
Se 0.3333 0.6667 0.4531
Se 0.3333 0.6667 0.5472
Se 0.3333 0.6667 0.6199
Se 0.3333 0.6667 0.7137
Se 0.3333 0.6667 0.7864
Se 0.3333 0.6667 0.8805
Se 0.3333 0.6667 0.9532

Peak list (10 most intense, 2θ from 15° to 90°, most intense first)
2θ/deg, I/Imax
37.63, 100
51.35, 36
29.58, 32
28.97, 27
34.08, 22
46.50, 22
65.39, 19
87.65, 17
72.96, 16
41.81, 12

***

The following is a theoretical X-ray powder pattern of NaNb2Se4. It was derived from a crystal structure in the Materials Project, relaxed with PBE, using Cu Kα, 1.54184 Å.
Intensities are scaled so that the largest is 100.

Cell and atoms:
Lattice parameters (Å, degrees): 3.5474 3.5474 15.2427 90.00 90.00 120.00
Fractional positions:
Na 0.0000 0.0000 0.0000
Nb 0.0000 0.0000 0.7493
Nb 0.3333 0.6667 0.2516
Se 0.6667 0.3333 0.1412
Se 0.6667 0.3333 0.3592
Se 0.6667 0.3333 0.6417
Se 0.6667 0.3333 0.8596

Peak list (10 most intense, 2θ from 15° to 90°, most intense first)
2θ/deg, I/Imax
37.61, 100
51.51, 42
29.66, 33
29.07, 28
46.38, 24
34.10, 23
65.52, 19
87.90, 17
72.86, 16
41.74, 13

***

The following is a theoretical X-ray powder pattern of NaSrNb2. It was derived from a crystal structure in the Materials Project, relaxed with PBE, using Cu Kα, 1.54184 Å.
Intensities are scaled so that the largest is 100.

Cell and atoms:
Lattice parameters (Å, degrees): 7.3099 7.3099 7.3099 90.00 90.00 90.00
Fractional positions:
Na 0.0000 0.0000 0.0000
Na 0.0000 0.5000 0.5000
Na 0.5000 0.0000 0.5000
Na 0.5000 0.5000 0.0000
Sr 0.0000 0.0000 0.5000
Sr 0.0000 0.5000 0.0000
Sr 0.5000 0.0000 0.0000
Sr 0.5000 0.5000 0.5000
Nb 0.2500 0.2500 0.2500
Nb 0.2500 0.2500 0.7500
Nb 0.2500 0.7500 0.2500
Nb 0.2500 0.7500 0.7500
Nb 0.7500 0.2500 0.2500
Nb 0.7500 0.2500 0.7500
Nb 0.7500 0.7500 0.2500
Nb 0.7500 0.7500 0.7500

Peak list (10 most intense, 2θ from 15° to 90°, most intense first)
2θ/deg, I/Imax
34.71, 100
62.22, 35
49.90, 17
83.67, 15
73.25, 11
21.05, 10
24.35, 9
40.95, 6
56.28, 3
42.86, 2

***

The following is a theoretical X-ray powder pattern of NaNd3. It was derived from a crystal structure in the Materials Project, relaxed with PBE, using Cu Kα, 1.54184 Å.
Intensities are scaled so that the largest is 100.

Cell and atoms:
Lattice parameters (Å, degrees): 5.1802 5.1802 5.1802 90.00 90.00 90.00
Fractional positions:
Na 0.0000 0.0000 0.0000
Nd 0.0000 0.5000 0.5000
Nd 0.5000 0.0000 0.5000
Nd 0.5000 0.5000 0.0000

Peak list (10 most intense, 2θ from 15° to 90°, most intense first)
2θ/deg, I/Imax
29.87, 100
34.63, 51
59.15, 43
49.79, 36
17.12, 20
80.89, 17
24.30, 17
83.45, 16
62.07, 12
38.87, 10

***

The following is a theoretical X-ray powder pattern of Na3Nd. It was derived from a crystal structure in the Materials Project, relaxed with PBE, using Cu Kα, 1.54184 Å.
Intensities are scaled so that the largest is 100.

Cell and atoms:
Lattice parameters (Å, degrees): 7.3839 7.3839 5.8753 90.00 90.00 120.00
Fractional positions:
Na 0.1614 0.3227 0.2500
Na 0.1614 0.8386 0.2500
Na 0.3227 0.1614 0.7500
Na 0.6773 0.8386 0.2500
Na 0.8386 0.1614 0.7500
Na 0.8386 0.6773 0.7500
Nd 0.3333 0.6667 0.7500
Nd 0.6667 0.3333 0.2500

Peak list (10 most intense, 2θ from 15° to 90°, most intense first)
2θ/deg, I/Imax
31.86, 100
20.53, 93
24.11, 41
40.35, 30
30.43, 25
27.90, 24
39.19, 23
59.11, 22
54.98, 20
49.37, 19

***

The following is a theoretical X-ray powder pattern of NaNdO2. It was derived from a crystal structure in the Materials Project, relaxed with PBE, using Cu Kα, 1.54184 Å.
Intensities are scaled so that the largest is 100.

Cell and atoms:
Lattice parameters (Å, degrees): 4.7674 4.7674 11.1084 90.00 90.00 90.00
Fractional positions:
Na 0.0000 0.2500 0.3750
Na 0.0000 0.7500 0.6250
Na 0.5000 0.2500 0.1250
Na 0.5000 0.7500 0.8750
Nd 0.0000 0.2500 0.8750
Nd 0.0000 0.7500 0.1250
Nd 0.5000 0.2500 0.6250
Nd 0.5000 0.7500 0.3750
O 0.0000 0.2500 0.0928
O 0.0000 0.2500 0.6572
O 0.0000 0.7500 0.3428
O 0.0000 0.7500 0.9072
O 0.5000 0.2500 0.4072
O 0.5000 0.2500 0.8428
O 0.5000 0.7500 0.1572
O 0.5000 0.7500 0.5928

Peak list (10 most intense, 2θ from 15° to 90°, most intense first)
2θ/deg, I/Imax
20.27, 100
31.03, 81
37.74, 52
50.46, 39
32.23, 36
43.21, 28
30.57, 22
63.99, 22
56.73, 19
64.69, 18

***

The following is a theoretical X-ray powder pattern of NaNd3Ti2Sb2O14. It was derived from a crystal structure in the Materials Project, relaxed with PBE, using Cu Kα, 1.54184 Å.
Intensities are scaled so that the largest is 100.

Cell and atoms:
Lattice parameters (Å, degrees): 7.3618 7.3618 7.3228 119.17 119.17 61.06
Fractional positions:
Na 0.0000 0.0000 0.0000
Nd 0.0000 0.0000 0.5000
Nd 0.0000 0.5000 0.0000
Nd 0.5000 0.0000 0.0000
Ti 0.5000 0.5000 0.0000
Ti 0.5000 0.5000 0.5000
Sb 0.0000 0.5000 0.5000
Sb 0.5000 0.0000 0.5000
O 0.1279 0.1279 0.8745
O 0.1740 0.1740 0.4294
O 0.1776 0.5757 0.4248
O 0.1812 0.5610 0.8199
O 0.4243 0.8224 0.5752
O 0.4306 0.4306 0.1834
O 0.4390 0.8188 0.1801
O 0.5610 0.1812 0.8199
O 0.5694 0.5694 0.8166
O 0.5757 0.1776 0.4248
O 0.8188 0.4390 0.1801
O 0.8224 0.4243 0.5752
O 0.8260 0.8260 0.5706
O 0.8721 0.8721 0.1255

Peak list (10 most intense, 2θ from 15° to 90°, most intense first)
2θ/deg, I/Imax
29.36, 100
34.29, 58
29.59, 48
29.99, 47
49.01, 31
49.54, 30
16.95, 30
58.28, 21
48.70, 16
49.81, 15

***

The following is a theoretical X-ray powder pattern of NaNd3Ti2Sb2O14. It was derived from a crystal structure in the Materials Project, relaxed with PBE, using Cu Kα, 1.54184 Å.
Intensities are scaled so that the largest is 100.

Cell and atoms:
Lattice parameters (Å, degrees): 7.4333 7.3822 12.8048 90.00 125.13 90.00
Fractional positions:
Na 0.0000 0.0000 0.0000
Na 0.0000 0.0000 0.5000
Nd 0.0000 0.2420 0.2500
Nd 0.0000 0.5000 0.0000
Nd 0.0000 0.5000 0.5000
Nd 0.0000 0.7580 0.7500
Nd 0.5000 0.2294 0.2500
Nd 0.5000 0.7706 0.7500
Ti 0.5000 0.2621 0.7500
Ti 0.5000 0.5000 0.0000
Ti 0.5000 0.5000 0.5000
Ti 0.5000 0.7379 0.2500
Sb 0.0000 0.2551 0.7500
Sb 0.0000 0.7449 0.2500
Sb 0.5000 0.0000 0.0000
Sb 0.5000 0.0000 0.5000
O 0.1286 0.2514 0.1271
O 0.1286 0.7486 0.6271
O 0.1729 0.0490 0.8723
O 0.1729 0.9510 0.3723
O 0.1782 0.4537 0.8772
O 0.1782 0.5463 0.3772
O 0.1811 0.2682 0.6808
O 0.1811 0.7318 0.1808
O 0.4244 0.2501 0.4244
O 0.4244 0.7499 0.9244
O 0.4284 0.4467 0.6224
O 0.4284 0.5533 0.1224
O 0.4435 0.0549 0.6309
O 0.4435 0.9451 0.1309
O 0.5565 0.0549 0.8691
O 0.5565 0.9451 0.3691
O 0.5716 0.4467 0.8776
O 0.5716 0.5533 0.3776
O 0.5756 0.2501 0.0756
O 0.5756 0.7499 0.5756
O 0.8189 0.2682 0.8192
O 0.8189 0.7318 0.3192
O 0.8218 0.4537 0.6228
O 0.8218 0.5463 0.1228
O 0.8271 0.0490 0.6277
O 0.8271 0.9510 0.1277
O 0.8714 0.2514 0.3729
O 0.8714 0.7486 0.8729

Peak list (10 most intense, 2θ from 15° to 90°, most intense first)
2θ/deg, I/Imax
29.59, 100
34.24, 40
29.38, 35
49.07, 32
49.34, 31
58.47, 28
18.94, 24
58.23, 14
58.59, 14
82.54, 9